Lu2FeCoO6: computed powder diffractogram (a wavelength of 1.5418 Å), based on a DFT-relaxed cell (GGA+U, Alexandria).

Largest 8 diffraction maxima, by intensity, 2θ = 5–70°:
2θ/deg, Rel. int., index
34.22, 100.0, 1 1 1
34.34, 99.4, 1 1 -3
26.80, 59.5, 1 1 -2
35.23, 50.0, 2 0 -2
54.82, 45.1, 1 3 -2
23.84, 42.5, 1 1 -1
34.94, 39.3, 0 2 1
62.52, 39.2, 2 0 -6

Structure:
```
data_Lu2FeCoO6
_space_group_name_H-M_alt 'P 1 21/c 1'
_space_group_IT_number 14
_space_group_name_Hall '-P 2ybc'
_cell_length_a 5.094
_cell_length_b 5.482
_cell_length_c 8.910
_cell_angle_alpha 90.00
_cell_angle_beta 124.59
_cell_angle_gamma 90.00
loop_
_atom_site_label
_atom_site_fract_x
_atom_site_fract_y
_atom_site_fract_z
_atom_site_occupancy
Lu1 0.225 0.077 0.249 1
Fe1 0.500 0.000 0.000 1
Co1 0.000 0.000 0.500 1
O1 0.129 0.196 0.943 1
O2 0.254 0.692 0.943 1
O3 0.364 0.040 0.749 1
```